Entry 1:
Theoretical X-ray powder pattern
Compound: Rb3LiErV2O8
Radiation: copper Kα
Structure: a cell relaxed with PBE+U
No peak broadening, texture or thermal motion is included.

Structure:
abc: 6.1095 6.1683 7.9508
angles: 84.35 85.71 60.51
Element x y z (fractional)
Rb1 0.0000 0.0000 0.0000
Rb2 0.2958 0.3067 0.3651
Rb3 0.6381 0.5565 0.6452
Li1 0.6429 0.9947 0.7656
Er1 0.6370 0.6556 0.1636
V1 0.3080 0.3450 0.9332
V2 0.9601 0.9633 0.4247
O1 0.2771 0.8195 0.3514
O2 0.3575 0.3088 0.7141
O3 0.4596 0.5055 0.0172
O4 0.5070 0.0032 0.0014
O5 0.8094 0.2783 0.3456
O6 0.8095 0.8119 0.3508
O7 0.9366 0.9543 0.6433
O8 0.9862 0.4848 0.0173

Largest 10 diffraction maxima, by angle, 5 to 70 degrees two-theta:
2θ 11.19, intensity 912; 2θ 27.06, intensity 648; 2θ 27.70, intensity 767; 2θ 28.87, intensity 962; 2θ 29.08, intensity 1000; 2θ 29.32, intensity 847; 2θ 29.56, intensity 634; 2θ 39.11, intensity 366; 2θ 41.51, intensity 385; 2θ 42.07, intensity 375

---

Entry 2:
Theoretical X-ray powder pattern
Compound: Li3Fe5Co2O12
Radiation: copper Kα
Structure: a cell relaxed with PBE+U
No peak broadening, texture or thermal motion is included.

Structure:
abc: 5.1460 5.1460 9.8342
angles: 95.23 95.23 121.20
Element x y z (fractional)
Li1 0.0000 0.0000 0.0000
Li2 0.4066 0.0704 0.2414
Li3 0.9296 0.5934 0.7586
Fe1 0.0663 0.3950 0.2345
Fe2 0.1582 0.8418 0.5000
Fe3 0.4954 0.5046 0.5000
Fe4 0.6050 0.9337 0.7655
Fe5 0.6473 0.3527 0.0000
Co1 0.3339 0.6661 0.0000
Co2 0.8310 0.1690 0.5000
O1 0.0469 0.6868 0.1234
O2 0.1182 0.1465 0.3871
O3 0.2004 0.5509 0.6120
O4 0.3132 0.9531 0.8766
O5 0.3525 0.3739 0.1188
O6 0.4491 0.7996 0.3880
O7 0.5591 0.2017 0.6113
O8 0.6261 0.6475 0.8812
O9 0.6873 0.0603 0.1173
O10 0.7983 0.4409 0.3887
O11 0.8535 0.8818 0.6129
O12 0.9397 0.3127 0.8827

Largest 10 diffraction maxima, by angle, 5 to 70 degrees two-theta:
2θ 18.36, intensity 540; 2θ 19.80, intensity 276; 2θ 23.79, intensity 417; 2θ 31.78, intensity 150; 2θ 35.39, intensity 142; 2θ 37.19, intensity 347; 2θ 42.96, intensity 1000; 2θ 44.00, intensity 462; 2θ 62.97, intensity 249; 2θ 63.40, intensity 262

---

Entry 3:
Theoretical X-ray powder pattern
Compound: LaZnFeCoO6
Radiation: copper Kα
Structure: a cell relaxed with PBE+U
No peak broadening, texture or thermal motion is included.

Structure:
abc: 5.3177 5.5366 9.2339
angles: 90.00 124.40 90.00
Element x y z (fractional)
La1 0.0000 0.2224 0.0000
La2 0.0000 0.7776 0.5000
Zn1 0.5375 0.2846 0.4992
Zn2 0.5375 0.7154 0.9992
Fe1 0.2583 0.2530 0.7481
Fe2 0.2583 0.7470 0.2481
Co1 0.7604 0.2518 0.2517
Co2 0.7604 0.7482 0.7517
O1 0.1472 0.2364 0.4967
O2 0.1472 0.7636 0.9967
O3 0.4376 0.2782 0.0037
O4 0.4376 0.7218 0.5037
O5 0.5202 0.0454 0.3070
O6 0.5202 0.9546 0.8070
O7 0.5785 0.4949 0.8084
O8 0.5785 0.5051 0.3084
O9 0.9025 0.0456 0.6934
O10 0.9025 0.9544 0.1934
O11 0.9623 0.4916 0.1946
O12 0.9623 0.5084 0.6946

Largest 10 diffraction maxima, by angle, 5 to 70 degrees two-theta:
2θ 32.34, intensity 488; 2θ 32.98, intensity 1000; 2θ 33.31, intensity 980; 2θ 33.71, intensity 393; 2θ 47.41, intensity 535; 2θ 47.75, intensity 265; 2θ 58.30, intensity 167; 2θ 58.85, intensity 227; 2θ 59.63, intensity 210; 2θ 60.25, intensity 206